# 1
For Cs4CaBr5, a crystal structure in Alexandria, relaxed with GGA-PBE gives the computed powder X-ray diffraction pattern in this record (Cu Ka).
Lines closer than 0.1° are merged.

a = 9.068 Å, b = 9.068 Å, c = 9.068 Å
α = 99.32°, β = 99.32°, γ = 132.54°
Atoms (fractional coordinates):
Cs 0.107 0.300 0.407
Cs 0.300 0.893 0.193
Cs 0.700 0.107 0.807
Cs 0.893 0.700 0.593
Ca 0.550 0.550 0.000
Br 0.264 0.579 0.847
Br 0.418 0.264 0.686
Br 0.579 0.732 0.314
Br 0.732 0.418 0.153
Br 0.943 0.943 0.000

Main lines, by angle (10° ≤ 2θ ≤ 90°):
two_theta  d/Å  intensity
20.84  4.262  33.9
23.97  3.712  100.0
24.39  3.649  55.0
30.05  2.973  20.1
34.16  2.625  28.5
34.46  2.602  74.2
40.35  2.235  23.3
42.42  2.131  28.0

# 2
For SrAgSnP2, a crystal structure in Alexandria, relaxed with GGA-PBE gives the computed powder X-ray diffraction pattern in this record (Cu Ka).
Lines closer than 0.1° are merged.

a = 6.977 Å, b = 6.977 Å, c = 8.495 Å
α = 102.42°, β = 102.42°, γ = 41.38°
Atoms (fractional coordinates):
Sr 0.152 0.152 0.211
Sr 0.848 0.848 0.789
Ag 0.173 0.173 0.600
Ag 0.827 0.827 0.400
Sn 0.441 0.441 0.274
Sn 0.559 0.559 0.726
P 0.098 0.098 0.846
P 0.365 0.365 0.553
P 0.635 0.635 0.447
P 0.902 0.902 0.154

Main lines, by angle (10° ≤ 2θ ≤ 90°):
two_theta  d/Å  intensity
10.70  8.267  77.1
21.50  4.134  32.4
27.76  3.213  100.0
27.80  3.209  46.3
27.99  3.188  39.7
36.45  2.465  59.8
36.60  2.455  69.2
37.99  2.368  36.4

# 3
For Er3SbO3, a crystal structure in Alexandria, relaxed with GGA-PBE gives the computed powder X-ray diffraction pattern in this record (Cu Ka).
Lines closer than 0.1° are merged.

a = 8.237 Å, b = 8.237 Å, c = 8.237 Å
α = 47.14°, β = 47.14°, γ = 47.14°
Atoms (fractional coordinates):
Er 0.044 0.747 0.401
Er 0.253 0.599 0.956
Er 0.401 0.044 0.747
Er 0.599 0.956 0.253
Er 0.747 0.401 0.044
Er 0.956 0.253 0.599
Sb 0.167 0.167 0.167
Sb 0.833 0.833 0.833
O 0.062 0.365 0.692
O 0.308 0.938 0.635
O 0.365 0.692 0.062
O 0.635 0.308 0.938
O 0.692 0.062 0.365
O 0.938 0.635 0.308

Main lines, by angle (10° ≤ 2θ ≤ 90°):
two_theta  d/Å  intensity
29.75  3.003  100.0
36.74  2.446  45.8
36.91  2.436  17.6
47.83  1.902  29.9
57.35  1.607  15.0
57.71  1.597  16.1
61.91  1.499  21.5
77.84  1.227  11.5